The following is a theoretical powder diffraction line list of SiSN. It was derived from a crystal structure in Alexandria, relaxed with PBE, using Cu Ka.
Intensities are scaled so that the largest is 100.

Top 10 peaks for 2θ from 5° to 70°, sorted by position:
Position (°2θ), Rel. int.
13.42, 100.0
27.03, 21.8
31.21, 19.1
35.43, 13.9
35.82, 16.2
36.81, 9.1
37.97, 9.3
38.58, 12.7
41.05, 16.0
55.16, 11.1

Crystal structure
Lattice parameters (Å, degrees): 7.180 7.180 5.014 109.73 109.73 23.59
Sites, in units of the cell vectors:
1 Si 0.229 0.771 0.500
2 Si 0.771 0.229 0.000
3 S 0.792 0.888 0.812
4 S 0.888 0.792 0.312
5 N 0.314 0.767 0.207
6 N 0.767 0.314 0.707

---

The following is a theoretical powder diffraction line list of BaThAg2Br8. It was derived from a crystal structure in Alexandria, relaxed with PBE, using Cu Ka.
Intensities are scaled so that the largest is 100.

Top 10 peaks for 2θ from 5° to 70°, sorted by position:
Position (°2θ), Rel. int.
13.21, 72.1
16.12, 93.2
19.66, 100.0
25.78, 63.2
26.66, 60.9
27.92, 58.9
28.06, 58.5
30.93, 65.1
37.79, 55.1
41.44, 84.1

Crystal structure
Lattice parameters (Å, degrees): 7.046 7.580 9.522 71.45 89.80 79.35
Sites, in units of the cell vectors:
1 Ba 0.000 0.000 0.000
2 Th 0.000 0.000 0.500
3 Ag 0.499 0.661 0.815
4 Ag 0.501 0.339 0.185
5 Br 0.108 0.242 0.220
6 Br 0.125 0.215 0.666
7 Br 0.370 0.760 0.536
8 Br 0.425 0.735 0.065
9 Br 0.575 0.265 0.935
10 Br 0.630 0.240 0.464
11 Br 0.875 0.785 0.334
12 Br 0.892 0.758 0.780

---

The following is a theoretical powder diffraction line list of Tb5Ho4Tm. It was derived from a crystal structure in Alexandria, relaxed with PBE, using Cu Ka.
Intensities are scaled so that the largest is 100.

Top 10 peaks for 2θ from 5° to 70°, sorted by position:
Position (°2θ), Rel. int.
29.70, 35.8
31.64, 53.3
32.22, 100.0
32.77, 91.9
43.08, 14.0
49.17, 20.7
56.36, 20.8
57.43, 17.4
59.66, 23.5
62.58, 11.0

Crystal structure
Lattice parameters (Å, degrees): 3.536 6.762 13.793 97.67 90.05 105.08
Sites, in units of the cell vectors:
1 Tb 0.000 0.000 0.000
2 Tb 0.048 0.083 0.383
3 Tb 0.310 0.625 0.415
4 Tb 0.690 0.375 0.585
5 Tb 0.952 0.917 0.617
6 Ho 0.351 0.671 0.792
7 Ho 0.425 0.797 0.191
8 Ho 0.575 0.203 0.809
9 Ho 0.649 0.329 0.208
10 Tm 0.000 0.500 0.000

---

The following is a theoretical powder diffraction line list of Sm2Th3O9. It was derived from a crystal structure in Alexandria, relaxed with PBE, using Cu Ka.
Intensities are scaled so that the largest is 100.

Top 10 peaks for 2θ from 5° to 70°, sorted by position:
Position (°2θ), Rel. int.
6.33, 12.9
12.67, 1.8
27.59, 100.0
31.97, 36.4
45.84, 49.3
54.30, 31.5
54.42, 14.6
56.97, 10.3
66.76, 5.3
66.98, 2.3

Crystal structure
Lattice parameters (Å, degrees): 14.250 14.250 14.250 164.01 164.01 22.68
Sites, in units of the cell vectors:
1 Sm 0.195 0.195 0.000
2 Sm 0.805 0.805 0.000
3 Th 0.000 0.000 0.000
4 Th 0.399 0.399 0.000
5 Th 0.601 0.601 0.000
6 O 0.054 0.554 0.500
7 O 0.157 0.657 0.500
8 O 0.343 0.843 0.500
9 O 0.446 0.946 0.500
10 O 0.547 0.047 0.500
11 O 0.646 0.146 0.500
12 O 0.750 0.250 0.500
13 O 0.854 0.354 0.500
14 O 0.953 0.453 0.500